Record 1
Starting from the PBE geometry in Alexandria, the powder X-ray diffraction pattern of CeAl2Cr was calculated for Cu Kα X-rays.
Intensities are scaled so that the largest is 100.

Crystal structure
a = 3.043 Å, b = 3.043 Å, c = 7.717 Å
α = 90.00°, β = 90.00°, γ = 90.00°
Atoms (fractional coordinates):
1 Ce 0.000 0.000 0.000
2 Al 0.500 0.500 0.307
3 Al 0.500 0.500 0.693
4 Cr 0.000 0.000 0.500

Most intense lines, 10 to 80 degrees two-theta, most intense first:
2.389 Å, 37.65 deg, rel. 100; 2.151 Å, 41.99 deg, rel. 41; 3.858 Å, 23.05 deg, rel. 38; 3.043 Å, 29.35 deg, rel. 35; 2.831 Å, 31.61 deg, rel. 32; 7.717 Å, 11.47 deg, rel. 30; 1.283 Å, 73.85 deg, rel. 26; 1.879 Å, 48.44 deg, rel. 20; 1.629 Å, 56.48 deg, rel. 19; 1.436 Å, 64.92 deg, rel. 14

Record 2
Starting from the PBE geometry in Alexandria, the powder X-ray diffraction pattern of DyZr2S5 was calculated for Cu Kα X-rays.
Intensities are scaled so that the largest is 100.

Crystal structure
a = 9.495 Å, b = 7.262 Å, c = 7.086 Å
α = 82.86°, β = 49.36°, γ = 47.78°
Atoms (fractional coordinates):
1 Dy 0.000 0.000 0.000
2 Zr 0.314 0.314 0.686
3 Zr 0.686 0.686 0.314
4 S 0.051 0.288 0.712
5 S 0.288 0.051 0.949
6 S 0.500 0.500 0.500
7 S 0.712 0.949 0.051
8 S 0.949 0.712 0.288

Most intense lines, 10 to 80 degrees two-theta, most intense first:
6.619 Å, 13.38 deg, rel. 100; 2.682 Å, 33.41 deg, rel. 41; 2.084 Å, 43.43 deg, rel. 22; 3.273 Å, 27.25 deg, rel. 19; 2.529 Å, 35.50 deg, rel. 15; 2.362 Å, 38.09 deg, rel. 15; 4.463 Å, 19.89 deg, rel. 10; 2.269 Å, 39.72 deg, rel. 9; 2.146 Å, 42.10 deg, rel. 9; 3.310 Å, 26.94 deg, rel. 7

Record 3
Starting from the PBE geometry in Alexandria, the powder X-ray diffraction pattern of LiPuCl3 was calculated for Cu Kα X-rays.
Intensities are scaled so that the largest is 100.

Crystal structure
a = 7.336 Å, b = 7.336 Å, c = 3.489 Å
α = 90.00°, β = 90.00°, γ = 120.00°
Atoms (fractional coordinates):
1 Li 0.000 0.000 0.000
2 Pu 0.667 0.333 0.000
3 Cl 0.315 0.177 0.500
4 Cl 0.823 0.138 0.500
5 Cl 0.862 0.685 0.500

Most intense lines, 10 to 80 degrees two-theta, most intense first:
6.353 Å, 13.94 deg, rel. 100; 3.058 Å, 29.20 deg, rel. 29; 2.528 Å, 35.51 deg, rel. 27; 2.349 Å, 38.32 deg, rel. 25; 2.401 Å, 37.45 deg, rel. 21; 3.668 Å, 24.27 deg, rel. 19; 1.978 Å, 45.87 deg, rel. 15; 3.177 Å, 28.09 deg, rel. 13; 1.810 Å, 50.41 deg, rel. 10; 1.573 Å, 58.70 deg, rel. 9

Record 4
Starting from the PBE geometry in Alexandria, the powder X-ray diffraction pattern of Li2TbHg6 was calculated for Cu Kα X-rays.
Intensities are scaled so that the largest is 100.

Crystal structure
a = 9.025 Å, b = 9.025 Å, c = 5.272 Å
α = 97.33°, β = 97.33°, γ = 75.35°
Atoms (fractional coordinates):
1 Li 0.039 0.286 0.089
2 Li 0.286 0.039 0.589
3 Li 0.714 0.961 0.411
4 Li 0.961 0.714 0.911
5 Tb 0.373 0.627 0.750
6 Tb 0.627 0.373 0.250
7 Hg 0.061 0.823 0.473
8 Hg 0.142 0.395 0.651
9 Hg 0.177 0.939 0.027
10 Hg 0.252 0.508 0.194
11 Hg 0.395 0.142 0.151
12 Hg 0.492 0.748 0.306
13 Hg 0.508 0.252 0.694
14 Hg 0.605 0.858 0.849
15 Hg 0.748 0.492 0.806
16 Hg 0.823 0.061 0.973
17 Hg 0.858 0.605 0.349
18 Hg 0.939 0.177 0.527

Most intense lines, 10 to 80 degrees two-theta, most intense first:
2.441 Å, 36.83 deg, rel. 100; 2.758 Å, 32.46 deg, rel. 71; 2.563 Å, 35.01 deg, rel. 59; 2.591 Å, 34.62 deg, rel. 57; 2.142 Å, 42.19 deg, rel. 34; 2.158 Å, 41.86 deg, rel. 34; 3.511 Å, 25.37 deg, rel. 30; 1.524 Å, 60.80 deg, rel. 23; 4.324 Å, 20.54 deg, rel. 20; 1.463 Å, 63.61 deg, rel. 19

Record 5
Starting from the PBE geometry in Alexandria, the powder X-ray diffraction pattern of Y4ThMg3 was calculated for Cu Kα X-rays.
Intensities are scaled so that the largest is 100.

Crystal structure
a = 3.683 Å, b = 3.683 Å, c = 16.935 Å
α = 90.00°, β = 90.00°, γ = 90.00°
Atoms (fractional coordinates):
1 Y 0.000 0.000 0.115
2 Y 0.000 0.000 0.360
3 Y 0.000 0.000 0.640
4 Y 0.000 0.000 0.885
5 Th 0.500 0.500 0.500
6 Mg 0.500 0.500 0.000
7 Mg 0.500 0.500 0.236
8 Mg 0.500 0.500 0.764

Most intense lines, 10 to 80 degrees two-theta, most intense first:
2.779 Å, 32.21 deg, rel. 100; 2.604 Å, 34.44 deg, rel. 45; 1.535 Å, 60.29 deg, rel. 32; 8.468 Å, 10.45 deg, rel. 27; 3.380 Å, 26.36 deg, rel. 25; 3.085 Å, 28.95 deg, rel. 23; 3.599 Å, 24.74 deg, rel. 21; 1.643 Å, 55.98 deg, rel. 17; 1.842 Å, 49.50 deg, rel. 16; 1.389 Å, 67.40 deg, rel. 9

Record 6
Starting from the PBE geometry in Alexandria, the powder X-ray diffraction pattern of Li2ThZn2 was calculated for Cu Kα X-rays.
Intensities are scaled so that the largest is 100.

Crystal structure
a = 13.307 Å, b = 13.307 Å, c = 13.307 Å
α = 165.17°, β = 160.08°, γ = 24.93°
Atoms (fractional coordinates):
1 Li 0.045 0.295 0.750
2 Li 0.447 0.197 0.250
3 Li 0.553 0.803 0.750
4 Li 0.955 0.705 0.250
5 Th 0.327 0.577 0.750
6 Th 0.673 0.423 0.250
7 Zn 0.120 0.870 0.250
8 Zn 0.225 0.975 0.250
9 Zn 0.775 0.025 0.750
10 Zn 0.880 0.130 0.750

Most intense lines, 10 to 80 degrees two-theta, most intense first:
2.693 Å, 33.27 deg, rel. 100; 2.535 Å, 35.41 deg, rel. 73; 2.446 Å, 36.74 deg, rel. 61; 2.521 Å, 35.61 deg, rel. 54; 1.700 Å, 53.92 deg, rel. 40; 4.066 Å, 21.86 deg, rel. 38; 2.302 Å, 39.13 deg, rel. 31; 2.102 Å, 43.04 deg, rel. 30; 3.446 Å, 25.85 deg, rel. 29; 4.331 Å, 20.51 deg, rel. 28

Record 7
Starting from the PBE geometry in Alexandria, the powder X-ray diffraction pattern of TmTeO4 was calculated for Cu Kα X-rays.
Intensities are scaled so that the largest is 100.

Crystal structure
a = 5.445 Å, b = 5.098 Å, c = 5.874 Å
α = 90.00°, β = 90.00°, γ = 90.00°
Atoms (fractional coordinates):
1 Tm 0.000 0.000 0.000
2 Tm 0.000 0.500 0.500
3 Te 0.500 0.000 0.347
4 Te 0.500 0.500 0.847
5 O 0.187 0.202 0.300
6 O 0.187 0.298 0.800
7 O 0.343 0.740 0.595
8 O 0.343 0.760 0.095
9 O 0.657 0.240 0.095
10 O 0.657 0.260 0.595
11 O 0.813 0.702 0.800
12 O 0.813 0.798 0.300

Most intense lines, 10 to 80 degrees two-theta, most intense first:
3.144 Å, 28.39 deg, rel. 100; 3.850 Å, 23.10 deg, rel. 28; 1.815 Å, 50.27 deg, rel. 22; 2.585 Å, 34.70 deg, rel. 20; 1.861 Å, 48.95 deg, rel. 17; 2.723 Å, 32.90 deg, rel. 17; 1.642 Å, 56.01 deg, rel. 16; 1.518 Å, 61.06 deg, rel. 14; 1.828 Å, 49.89 deg, rel. 14; 1.564 Å, 59.08 deg, rel. 14

Record 8
Starting from the PBE geometry in Alexandria, the powder X-ray diffraction pattern of PmPu2Pb2 was calculated for Cu Kα X-rays.
Intensities are scaled so that the largest is 100.

Crystal structure
a = 4.355 Å, b = 4.355 Å, c = 16.509 Å
α = 90.00°, β = 90.00°, γ = 120.00°
Atoms (fractional coordinates):
1 Pm 0.333 0.667 0.250
2 Pm 0.667 0.333 0.750
3 Pu 0.333 0.667 0.506
4 Pu 0.333 0.667 0.994
5 Pu 0.667 0.333 0.006
6 Pu 0.667 0.333 0.494
7 Pb 0.000 0.000 0.126
8 Pb 0.000 0.000 0.374
9 Pb 0.000 0.000 0.626
10 Pb 0.000 0.000 0.874

Most intense lines, 10 to 80 degrees two-theta, most intense first:
2.784 Å, 32.15 deg, rel. 100; 2.177 Å, 41.47 deg, rel. 52; 8.255 Å, 10.72 deg, rel. 39; 1.498 Å, 61.95 deg, rel. 31; 1.715 Å, 53.42 deg, rel. 25; 1.347 Å, 69.80 deg, rel. 23; 2.064 Å, 43.87 deg, rel. 14; 1.257 Å, 75.65 deg, rel. 9; 3.430 Å, 25.97 deg, rel. 9; 1.292 Å, 73.24 deg, rel. 9

- What is the formula in the seventh record?
  TmTeO4